Structure and theoretical XRD peak list of HfNb4Ga4 (a structure optimized by DFT (PBE); Cu Kα, 1.54184 Å).
Peak positions follow from Bragg's law for the DFT cell and can differ from measured ones.

Main lines, low angle first (5° ≤ 2θ ≤ 70°):
20.5°, I = 16, (1 0 1)
30.7°, I = 21, (2 1 1)
36.0°, I = 40, (3 1 0)
36.6°, I = 57, (1 0 2)
38.4°, I = 100, (3 0 1)
40.1°, I = 20, (1 3 1)
43.4°, I = 22, (2 1 2)
45.0°, I = 36, (2 3 1)
49.0°, I = 20, (3 3 0)
59.7°, I = 16, (5 1 0)

Cell and atoms:
```
data_HfNb4Ga4
_chemical_formula_sum 'Hf2 Nb8 Ga8'
_symmetry_space_group_name_H-M 'P 42/n'
_symmetry_Int_Tables_number 86
_cell_length_a 7.892
_cell_length_b 7.892
_cell_length_c 5.171
_cell_angle_alpha 90.00
_cell_angle_beta 90.00
_cell_angle_gamma 90.00
loop_
_symmetry_equiv_pos_as_xyz
'x,y,z'
'-x,-y,-z'
'-y,x+1/2,z+1/2'
'y,-x+1/2,-z+1/2'
'-x+1/2,-y+1/2,z'
'x+1/2,y+1/2,-z'
'y+1/2,-x,z+1/2'
'-y+1/2,x,-z+1/2'
loop_
_atom_site_label
_atom_site_type_symbol
_atom_site_fract_x
_atom_site_fract_y
_atom_site_fract_z
Hf1 Hf 0.250 0.250 0.250
Nb1 Nb 0.093 0.803 0.632
Ga1 Ga 0.048 0.128 0.845
```


Structure and theoretical XRD peak list of TlBi3Te4 (a structure optimized by DFT (PBE); Cu Kα, 1.54184 Å).
Peak positions follow from Bragg's law for the DFT cell and can differ from measured ones.

Main lines, low angle first (5° ≤ 2θ ≤ 70°):
23.6°, I = 34, (1 2 1)
27.0°, I = 99, (0 0 2)
27.3°, I = 100, (2 0 0)
27.7°, I = 95, (0 4 0)
38.8°, I = 77, (2 0 2)
39.1°, I = 74, (0 4 2)
39.3°, I = 76, (2 4 0)
48.3°, I = 81, (2 4 2)
63.5°, I = 19, (4 0 2)
63.9°, I = 19, (4 4 0)

Cell and atoms:
```
data_TlBi3Te4
_chemical_formula_sum 'Tl2 Bi6 Te8'
_symmetry_space_group_name_H-M 'P m m n'
_symmetry_Int_Tables_number 59
_cell_length_a 6.537
_cell_length_b 12.867
_cell_length_c 6.598
_cell_angle_alpha 90.00
_cell_angle_beta 90.00
_cell_angle_gamma 90.00
loop_
_symmetry_equiv_pos_as_xyz
'x,y,z'
'-x,-y,-z'
'-x+1/2,-y+1/2,z'
'x+1/2,y+1/2,-z'
'x+1/2,-y,-z'
'-x+1/2,y,z'
'-x,y+1/2,-z'
'x,-y+1/2,z'
loop_
_atom_site_label
_atom_site_type_symbol
_atom_site_fract_x
_atom_site_fract_y
_atom_site_fract_z
Tl1 Tl 0.250 0.250 0.239
Bi1 Bi 0.250 0.000 0.756
Bi2 Bi 0.250 0.750 0.258
Te1 Te 0.250 0.250 0.739
Te2 Te 0.250 0.509 0.272
Te3 Te 0.250 0.750 0.782
```


Structure and theoretical XRD peak list of Pm12Si7Pb (a structure optimized by DFT (PBE); Cu Kα, 1.54184 Å).
Peak positions follow from Bragg's law for the DFT cell and can differ from measured ones.

Main lines, low angle first (5° ≤ 2θ ≤ 70°):
25.9°, I = 100, (3 1 0)
28.5°, I = 49, (2 2 2)
30.8°, I = 87, (3 2 1)
33.0°, I = 23, (4 0 0)
40.7°, I = 20, (4 2 2)
42.4°, I = 13, (4 3 1)
48.9°, I = 49, (5 0 3)
50.4°, I = 14, (6 0 0)
51.9°, I = 48, (5 3 2)
60.3°, I = 20, (7 1 0)

Cell and atoms:
```
data_Pm12Si7Pb
_chemical_formula_sum 'Pm24 Si14 Pb2'
_symmetry_space_group_name_H-M 'I m -3'
_symmetry_Int_Tables_number 204
_symmetry_space_group_name_Hall '-I 2 2 3'
_cell_length_a 10.859
_cell_length_b 10.859
_cell_length_c 10.859
_cell_angle_alpha 90.00
_cell_angle_beta 90.00
_cell_angle_gamma 90.00
loop_
_atom_site_label
_atom_site_type_symbol
_atom_site_fract_x
_atom_site_fract_y
_atom_site_fract_z
Pm1 Pm 0.000 0.185 0.305
Si1 Si 0.000 0.000 0.500
Si2 Si 0.250 0.250 0.250
Pb1 Pb 0.000 0.000 0.000
```


Structure and theoretical XRD peak list of AcH5Rh (a structure optimized by DFT (PBE); Cu Kα, 1.54184 Å).
Peak positions follow from Bragg's law for the DFT cell and can differ from measured ones.

Main lines, low angle first (5° ≤ 2θ ≤ 70°):
21.5°, I = 21, (0 1 1)
25.3°, I = 80, (0 0 2)
28.1°, I = 100, (1 1 0)
35.2°, I = 27, (0 2 0)
38.1°, I = 89, (1 1 2)
43.8°, I = 39, (0 2 2)
44.6°, I = 19, (2 0 0)
60.0°, I = 24, (1 1 4)
64.3°, I = 30, (0 2 4)
65.1°, I = 19, (1 3 2)

Cell and atoms:
```
data_AcH5Rh
_chemical_formula_sum 'Ac2 H10 Rh2'
_symmetry_space_group_name_H-M 'I m m m'
_symmetry_Int_Tables_number 71
_symmetry_space_group_name_Hall '-I 2 2'
_cell_length_a 4.063
_cell_length_b 5.099
_cell_length_c 7.055
_cell_angle_alpha 90.00
_cell_angle_beta 90.00
_cell_angle_gamma 90.00
loop_
_atom_site_label
_atom_site_type_symbol
_atom_site_fract_x
_atom_site_fract_y
_atom_site_fract_z
Ac1 Ac 0.000 0.000 0.000
H1 H 0.000 0.240 0.338
H2 H 0.000 0.500 0.000
Rh1 Rh 0.000 0.000 0.500
```


Structure and theoretical XRD peak list of LaAlAu6 (a structure optimized by DFT (PBE); Cu Kα, 1.54184 Å).
Peak positions follow from Bragg's law for the DFT cell and can differ from measured ones.

Main lines, low angle first (5° ≤ 2θ ≤ 70°):
27.1°, I = 20, (0 0 3)
31.9°, I = 100, (1 1 1)
34.8°, I = 25, (1 0 3)
35.7°, I = 26, (1 1 2)
41.3°, I = 84, (1 1 3)
42.7°, I = 22, (1 0 4)
43.7°, I = 63, (2 0 0)
58.2°, I = 14, (2 0 4)
62.7°, I = 14, (2 1 4)
63.5°, I = 21, (2 2 0)

Cell and atoms:
```
data_LaAlAu6
_chemical_formula_sum 'La1 Al1 Au6'
_symmetry_space_group_name_H-M 'P 4/m m m'
_symmetry_Int_Tables_number 123
_symmetry_space_group_name_Hall '-P 4 2'
_cell_length_a 4.142
_cell_length_b 4.142
_cell_length_c 9.861
_cell_angle_alpha 90.00
_cell_angle_beta 90.00
_cell_angle_gamma 90.00
loop_
_atom_site_label
_atom_site_type_symbol
_atom_site_fract_x
_atom_site_fract_y
_atom_site_fract_z
La1 La 0.000 0.000 0.000
Al1 Al 0.000 0.000 0.500
Au1 Au 0.000 0.500 0.338
Au2 Au 0.500 0.500 0.137
```


Structure and theoretical XRD peak list of KB2SbO6 (a structure optimized by DFT (PBE); Cu Kα, 1.54184 Å).
Peak positions follow from Bragg's law for the DFT cell and can differ from measured ones.

Main lines, low angle first (5° ≤ 2θ ≤ 70°):
15.4°, I = 100, (1 1 0)
18.3°, I = 48, (2 0 0)
23.8°, I = 44, (2 0 -2)
25.0°, I = 27, (0 2 0)
28.1°, I = 46, (1 1 -2)
28.8°, I = 51, (3 1 -2)
30.4°, I = 38, (3 1 0)
31.2°, I = 37, (2 2 0)
38.2°, I = 20, (1 1 2)
40.1°, I = 16, (4 2 -2)

Cell and atoms:
```
data_KB2SbO6
_chemical_formula_sum 'K4 B8 Sb4 O24'
_symmetry_space_group_name_H-M 'C 1 c 1'
_symmetry_Int_Tables_number 9
_cell_length_a 11.994
_cell_length_b 7.124
_cell_length_c 7.499
_cell_angle_alpha 90.00
_cell_angle_beta 126.18
_cell_angle_gamma 90.00
loop_
_symmetry_equiv_pos_as_xyz
'x,y,z'
'x,-y,z+1/2'
'x+1/2,y+1/2,z'
'x+1/2,-y+1/2,z+1/2'
loop_
_atom_site_label
_atom_site_type_symbol
_atom_site_fract_x
_atom_site_fract_y
_atom_site_fract_z
K1 K 0.000 0.020 0.000
B1 B 0.174 0.283 0.910
B2 B 0.214 0.373 0.506
Sb1 Sb 0.412 0.016 0.676
O1 O 0.035 0.293 0.740
O2 O 0.081 0.316 0.363
O3 O 0.227 0.105 0.961
O4 O 0.256 0.439 0.025
O5 O 0.319 0.256 0.654
O6 O 0.412 0.089 0.421
```


Structure and theoretical XRD peak list of Li3NiRh3 (a structure optimized by DFT (PBE); Cu Kα, 1.54184 Å).
Peak positions follow from Bragg's law for the DFT cell and can differ from measured ones.

Main lines, low angle first (5° ≤ 2θ ≤ 70°):
20.2°, I = 100, (1 0 1)
32.1°, I = 67, (0 2 1)
40.9°, I = 66, (2 1 1)
41.1°, I = 58, (2 0 2)
43.4°, I = 30, (3 0 0)
44.0°, I = 24, (0 0 3)
48.5°, I = 40, (1 2 2)
50.6°, I = 26, (2 2 0)
63.6°, I = 19, (0 3 3)
67.0°, I = 18, (3 2 1)

Cell and atoms:
```
data_Li3NiRh3
_chemical_formula_sum 'Li9 Ni3 Rh9'
_symmetry_space_group_name_H-M 'R 3 m'
_symmetry_Int_Tables_number 160
_symmetry_space_group_name_Hall 'R 3 -2"'
_cell_length_a 7.2181
_cell_length_b 7.2181
_cell_length_c 6.1675
_cell_angle_alpha 90.00
_cell_angle_beta 90.00
_cell_angle_gamma 120.00
loop_
_atom_site_label
_atom_site_type_symbol
_atom_site_fract_x
_atom_site_fract_y
_atom_site_fract_z
Li1 Li 0.1013 0.5506 0.0000
Ni1 Ni 0.0000 0.0000 0.0270
Rh1 Rh 0.0584 0.5292 0.4108
```


Structure and theoretical XRD peak list of Nd3Hg2Ir (a structure optimized by DFT (PBE); Cu Kα, 1.54184 Å).
Peak positions follow from Bragg's law for the DFT cell and can differ from measured ones.

Main lines, low angle first (5° ≤ 2θ ≤ 70°):
28.6°, I = 100, (1 0 3)
29.9°, I = 55, (0 2 0)
33.8°, I = 18, (0 1 5)
36.2°, I = 16, (1 1 4)
36.5°, I = 14, (0 0 6)
41.8°, I = 73, (1 2 3)
45.0°, I = 18, (2 0 0)
54.9°, I = 20, (2 2 0)
57.0°, I = 13, (1 1 8)
69.7°, I = 16, (1 4 3)

Cell and atoms:
```
data_Nd3Hg2Ir
_chemical_formula_sum 'Nd6 Hg4 Ir2'
_symmetry_space_group_name_H-M 'I m m m'
_symmetry_Int_Tables_number 71
_symmetry_space_group_name_Hall '-I 2 2'
_cell_length_a 4.030
_cell_length_b 5.984
_cell_length_c 14.778
_cell_angle_alpha 90.00
_cell_angle_beta 90.00
_cell_angle_gamma 90.00
loop_
_atom_site_label
_atom_site_type_symbol
_atom_site_fract_x
_atom_site_fract_y
_atom_site_fract_z
Nd1 Nd 0.000 0.000 0.000
Nd2 Nd 0.000 0.000 0.367
Hg1 Hg 0.000 0.500 0.309
Ir1 Ir 0.000 0.500 0.000
```


Structure and theoretical XRD peak list of CrGeBr4 (a structure optimized by DFT (PBE); Cu Kα, 1.54184 Å).
Peak positions follow from Bragg's law for the DFT cell and can differ from measured ones.

Main lines, low angle first (5° ≤ 2θ ≤ 70°):
13.1°, I = 73, (0 0 2)
26.3°, I = 15, (0 0 4)
28.6°, I = 100, (1 1 1)
29.0°, I = 17, (1 1 -3)
29.8°, I = 45, (2 0 -4)
36.6°, I = 44, (1 1 3)
38.2°, I = 22, (2 0 -6)
45.8°, I = 33, (3 1 -3)
47.5°, I = 21, (2 0 4)
48.5°, I = 30, (1 1 -7)

Cell and atoms:
```
data_CrGeBr4
_chemical_formula_sum 'Cr2 Ge2 Br8'
_symmetry_space_group_name_H-M 'P 1 21/c 1'
_symmetry_Int_Tables_number 14
_cell_length_a 6.812
_cell_length_b 4.060
_cell_length_c 14.933
_cell_angle_alpha 90.00
_cell_angle_beta 114.92
_cell_angle_gamma 90.00
loop_
_symmetry_equiv_pos_as_xyz
'x,y,z'
'-x,-y,-z'
'-x,y+1/2,-z+1/2'
'x,-y+1/2,z+1/2'
loop_
_atom_site_label
_atom_site_type_symbol
_atom_site_fract_x
_atom_site_fract_y
_atom_site_fract_z
Cr1 Cr 0.000 0.000 0.000
Ge1 Ge 0.500 0.000 0.500
Br1 Br 0.203 0.001 0.889
Br2 Br 0.268 0.584 0.115
```


Structure and theoretical XRD peak list of SrPm2Pt3 (a structure optimized by DFT (PBE); Cu Kα, 1.54184 Å).
Peak positions follow from Bragg's law for the DFT cell and can differ from measured ones.

Main lines, low angle first (5° ≤ 2θ ≤ 70°):
8.0°, I = 12, (0 0 1)
16.1°, I = 4, (0 0 2)
24.7°, I = 5, (1 0 0)
34.9°, I = 100, (1 0 3)
35.3°, I = 53, (1 1 0)
41.2°, I = 7, (1 0 4)
49.5°, I = 7, (0 0 6)
50.7°, I = 19, (2 0 0)
62.3°, I = 14, (1 1 6)
63.0°, I = 36, (2 1 3)

Cell and atoms:
```
data_SrPm2Pt3
_chemical_formula_sum 'Sr1 Pm2 Pt3'
_symmetry_space_group_name_H-M 'P 4/m m m'
_symmetry_Int_Tables_number 123
_symmetry_space_group_name_Hall '-P 4 2'
_cell_length_a 3.599
_cell_length_b 3.599
_cell_length_c 11.040
_cell_angle_alpha 90.00
_cell_angle_beta 90.00
_cell_angle_gamma 90.00
loop_
_atom_site_label
_atom_site_type_symbol
_atom_site_fract_x
_atom_site_fract_y
_atom_site_fract_z
Sr1 Sr 0.000 0.000 0.000
Pm1 Pm 0.000 0.000 0.335
Pt1 Pt 0.500 0.500 0.192
Pt2 Pt 0.500 0.500 0.500
```


Structure and theoretical XRD peak list of Cs4AlGe4 (a structure optimized by DFT (PBE); Cu Kα, 1.54184 Å).
Peak positions follow from Bragg's law for the DFT cell and can differ from measured ones.

Main lines, low angle first (5° ≤ 2θ ≤ 70°):
16.5°, I = 34, (1 1 0)
19.9°, I = 45, (1 1 2)
22.3°, I = 58, (0 0 4)
26.8°, I = 100, (2 1 1)
31.3°, I = 35, (2 1 3)
32.6°, I = 15, (2 0 4)
38.7°, I = 49, (2 1 5)
39.2°, I = 16, (3 1 2)
44.0°, I = 17, (3 1 4)
58.8°, I = 17, (2 1 9)

Cell and atoms:
```
data_Cs4AlGe4
_chemical_formula_sum 'Cs8 Al2 Ge8'
_symmetry_space_group_name_H-M 'I -4 2 m'
_symmetry_Int_Tables_number 121
_symmetry_space_group_name_Hall 'I -4 2'
_cell_length_a 7.592
_cell_length_b 7.592
_cell_length_c 15.954
_cell_angle_alpha 90.00
_cell_angle_beta 90.00
_cell_angle_gamma 90.00
loop_
_atom_site_label
_atom_site_type_symbol
_atom_site_fract_x
_atom_site_fract_y
_atom_site_fract_z
Cs1 Cs 0.181 0.181 0.365
Al1 Al 0.000 0.000 0.000
Ge1 Ge 0.115 0.115 0.139
```


Structure and theoretical XRD peak list of Rb3BrCl6 (a structure optimized by DFT (PBE); Cu Kα, 1.54184 Å).
Peak positions follow from Bragg's law for the DFT cell and can differ from measured ones.

Main lines, low angle first (5° ≤ 2θ ≤ 70°):
21.0°, I = 100, (1 1 2)
23.2°, I = 41, (2 0 0)
26.5°, I = 59, (0 0 4)
26.7°, I = 36, (2 0 2)
33.0°, I = 61, (2 2 0)
35.5°, I = 26, (2 0 4)
39.4°, I = 34, (3 1 2)
42.8°, I = 55, (2 2 4)
47.3°, I = 21, (4 0 0)
55.1°, I = 23, (4 0 4)

Cell and atoms:
```
data_Rb3BrCl6
_chemical_formula_sum 'Rb6 Br2 Cl12'
_symmetry_space_group_name_H-M 'I 4/m m m'
_symmetry_Int_Tables_number 139
_symmetry_space_group_name_Hall '-I 4 2'
_cell_length_a 7.683
_cell_length_b 7.683
_cell_length_c 13.449
_cell_angle_alpha 90.00
_cell_angle_beta 90.00
_cell_angle_gamma 90.00
loop_
_atom_site_label
_atom_site_type_symbol
_atom_site_fract_x
_atom_site_fract_y
_atom_site_fract_z
Rb1 Rb 0.000 0.000 0.000
Rb2 Rb 0.000 0.500 0.250
Br1 Br 0.000 0.000 0.500
Cl1 Cl 0.000 0.000 0.233
Cl2 Cl 0.218 0.218 0.500
```


Structure and theoretical XRD peak list of BaAgBrO (a structure optimized by DFT (PBE); Cu Kα, 1.54184 Å).
Peak positions follow from Bragg's law for the DFT cell and can differ from measured ones.

Main lines, low angle first (5° ≤ 2θ ≤ 70°):
26.2°, I = 100, (0 1 5)
28.4°, I = 14, (1 0 7)
29.6°, I = 15, (0 1 8)
32.4°, I = 89, (1 0 10)
32.7°, I = 16, (0 0 15)
42.0°, I = 58, (1 1 0)
50.2°, I = 16, (2 0 5)
50.7°, I = 21, (0 1 20)
54.0°, I = 20, (0 2 10)
54.2°, I = 21, (1 1 15)

Cell and atoms:
```
data_BaAgBrO
_chemical_formula_sum 'Ba6 Ag6 Br6 O6'
_symmetry_space_group_name_H-M 'R -3 m'
_symmetry_Int_Tables_number 166
_symmetry_space_group_name_Hall '-R 3 2"'
_cell_length_a 4.3046
_cell_length_b 4.3046
_cell_length_c 41.1055
_cell_angle_alpha 90.00
_cell_angle_beta 90.00
_cell_angle_gamma 120.00
loop_
_atom_site_label
_atom_site_type_symbol
_atom_site_fract_x
_atom_site_fract_y
_atom_site_fract_z
Ba1 Ba 0.0000 0.0000 0.1071
Ag1 Ag 0.0000 0.0000 0.2957
Br1 Br 0.0000 0.0000 0.0000
Br2 Br 0.0000 0.0000 0.5000
O1 O 0.0000 0.0000 0.2438
```